This entry pairs a crystal structure of Pr8Nd6Ho with its computed powder XRD pattern. Radiation: Cu Kα, 1.54184 Å. Structure: DFT lattice parameters and positions (GGA-PBE).
Intensities are scaled so that the largest is 100.

Most intense lines, 2θ = 5–70°, low angle first:
2θ/deg	I/Imax
29.4	43
30.3	100
30.5	68
31.5	50
31.7	19
33.8	19
35.5	23
51.4	16
51.6	14
52.1	12
53.4	22
58.1	15

Crystal structure
```
data_Pr8Nd6Ho
_space_group_name_H-M_alt 'P 1'
_space_group_IT_number 1
_space_group_name_Hall 'P 1'
_cell_length_a 8.912
_cell_length_b 8.912
_cell_length_c 8.912
_cell_angle_alpha 63.40
_cell_angle_beta 63.40
_cell_angle_gamma 63.40
loop_
_atom_site_label
_atom_site_type_symbol
_atom_site_fract_x
_atom_site_fract_y
_atom_site_fract_z
Pr1 Pr 0.078 0.078 0.078
Pr2 Pr 0.215 0.613 0.252
Pr3 Pr 0.252 0.215 0.613
Pr4 Pr 0.387 0.748 0.785
Pr5 Pr 0.613 0.252 0.215
Pr6 Pr 0.748 0.785 0.387
Pr7 Pr 0.785 0.387 0.748
Pr8 Pr 0.922 0.922 0.922
Nd1 Nd 0.040 0.597 0.742
Nd2 Nd 0.258 0.960 0.403
Nd3 Nd 0.403 0.258 0.960
Nd4 Nd 0.597 0.742 0.040
Nd5 Nd 0.742 0.040 0.597
Nd6 Nd 0.960 0.403 0.258
Ho1 Ho 0.500 0.500 0.500
```